Structure and calculated XRD peak list of Ir3Pb2 (the GGA-PBE geometry in Alexandria; CuKα).

Structural model:
Cell: 9.2377 15.5596 5.7075 Å, 90.00 90.00 90.00°
Space group Fdd2 (No. 43)
Asymmetric unit:
Ir  0.0000  0.0000  0.0000 (multiplicity 8)
Ir  0.0503  0.1306  0.2529 (multiplicity 16)
Pb  0.0817  0.2051  0.7820 (multiplicity 16)

Principal peaks in the range 10° ≤ 2θ ≤ 90°, in order of rising 2θ:
hkl 2 4 0, 30.0°, rel. 50
hkl 0 2 2, 33.4°, rel. 95
hkl 3 1 1, 33.6°, rel. 53
hkl 1 5 1, 34.2°, rel. 97
hkl 3 3 1, 37.4°, rel. 100
hkl 2 2 2, 38.9°, rel. 68
hkl 4 2 0, 40.8°, rel. 56
hkl 2 4 2, 44.0°, rel. 49
hkl 1 7 1, 44.8°, rel. 68
hkl 0 0 4, 65.4°, rel. 45



Structure and calculated XRD peak list of Rb3PmAg2Cl9 (the GGA-PBE geometry in Alexandria; CuKα).

Structural model:
Cell: 7.5267 7.5267 9.3814 Å, 90.00 90.00 120.00°
Space group P-3m1 (No. 164)
Asymmetric unit:
Rb  0.0000  0.0000  0.0000 (multiplicity 1)
Rb  0.3333  0.6667  0.7036 (multiplicity 2)
Pm  0.0000  0.0000  0.5000 (multiplicity 1)
Ag  0.3333  0.6667  0.1532 (multiplicity 2)
Cl  0.0000  0.5000  0.0000 (multiplicity 3)
Cl  0.1676  0.3353  0.3308 (multiplicity 6)

Principal peaks in the range 10° ≤ 2θ ≤ 90°, in order of rising 2θ:
hkl 1 0 1, 16.6°, rel. 39
hkl 0 1 2, 23.4°, rel. 73
hkl 1 1 0, 23.6°, rel. 75
hkl 2 0 2, 33.5°, rel. 100
hkl 1 2 2, 41.4°, rel. 33
hkl 3 0 0, 41.6°, rel. 17
hkl 0 2 4, 47.8°, rel. 30
hkl 2 2 0, 48.4°, rel. 34
hkl 3 1 2, 54.4°, rel. 15
hkl 0 4 2, 60.1°, rel. 17



Structure and calculated XRD peak list of SrAc2Be2P4 (the GGA-PBE geometry in Alexandria; CuKα).

Structural model:
Cell: 15.4167 3.9574 7.2966 Å, 90.00 112.70 90.00°
Space group C2/m (No. 12)
Asymmetric unit:
Sr  0.0000  0.0000  0.0000 (multiplicity 2)
Ac  0.1335  0.0000  0.5717 (multiplicity 4)
Be  0.1779  0.5000  0.9838 (multiplicity 4)
P  0.0356  0.5000  0.7377 (multiplicity 4)
P  0.2131  0.0000  0.1724 (multiplicity 4)

Principal peaks in the range 10° ≤ 2θ ≤ 90°, in order of rising 2θ:
hkl 0 0 1, 13.2°, rel. 61
hkl 2 0 1, 21.4°, rel. 25
hkl 4 0 -1, 23.3°, rel. 100
hkl 2 0 -2, 24.5°, rel. 35
hkl 3 1 -1, 29.1°, rel. 25
hkl 3 1 0, 29.4°, rel. 34
hkl 4 0 1, 32.7°, rel. 31
hkl 1 1 -2, 33.6°, rel. 89
hkl 3 1 1, 35.3°, rel. 48
hkl 5 1 -1, 37.0°, rel. 51



Structure and calculated XRD peak list of Sr8Si2Ge (the GGA-PBE geometry in Alexandria; CuKα).

Structural model:
Cell: 20.2455 5.3898 7.6596 Å, 90.00 101.45 90.00°
Space group C2/m (No. 12)
Asymmetric unit:
Sr  0.0393  0.0000  0.2963 (multiplicity 4)
Sr  0.0904  0.5000  0.9304 (multiplicity 4)
Sr  0.1646  0.5000  0.4644 (multiplicity 4)
Sr  0.2145  0.0000  0.8287 (multiplicity 4)
Si  0.1968  0.0000  0.2314 (multiplicity 4)
Ge  0.0000  0.5000  0.5000 (multiplicity 2)

Principal peaks in the range 10° ≤ 2θ ≤ 90°, in order of rising 2θ:
hkl 3 1 1, 25.7°, rel. 56
hkl 2 0 2, 27.0°, rel. 15
hkl 5 1 0, 27.9°, rel. 19
hkl 5 1 -1, 28.6°, rel. 100
hkl 1 1 2, 30.1°, rel. 33
hkl 6 0 1, 31.7°, rel. 21
hkl 0 2 0, 33.2°, rel. 51
hkl 5 1 -2, 33.8°, rel. 24
hkl 8 0 -1, 35.8°, rel. 21
hkl 7 1 3, 56.3°, rel. 16



- What is the formula in the first record?
  Ir3Pb2